Starting from DFT lattice parameters and positions (GGA-PBE), the powder diffractogram of CaGa3Ni2 was calculated for Cu Kα, 1.54184 Å.
Intensities are scaled so that the largest is 100.

Most intense lines, 2θ from 10° to 80°, sorted by position:
- 14.4 deg, d 6.142, I = 54
- 18.1 deg, d 4.890, I = 38
- 34.0 deg, d 2.640, I = 42
- 34.5 deg, d 2.603, I = 61
- 35.3 deg, d 2.541, I = 28
- 41.8 deg, d 2.161, I = 42
- 45.9 deg, d 1.976, I = 100
- 46.3 deg, d 1.961, I = 31
- 47.8 deg, d 1.903, I = 32
- 58.8 deg, d 1.570, I = 22

Cell and atoms:
a = 6.2840 Å, b = 6.2840 Å, c = 5.1653 Å
α = 90.00°, β = 90.00°, γ = 77.81°
Sites, in units of the cell vectors:
Ca  0.1561  0.8439  0.7500
Ca  0.8439  0.1561  0.2500
Ga  0.0340  0.5909  0.2500
Ga  0.4091  0.9660  0.2500
Ga  0.4502  0.5498  0.2500
Ga  0.5498  0.4502  0.7500
Ga  0.5909  0.0340  0.7500
Ga  0.9660  0.4091  0.7500
Ni  0.2891  0.2891  0.0000
Ni  0.2891  0.2891  0.5000
Ni  0.7109  0.7109  0.0000
Ni  0.7109  0.7109  0.5000